The following is a theoretical powder X-ray diffraction pattern of K2CdSnCl6. It was derived from DFT lattice parameters and positions (PBE), using Cu Kα, 1.54184 Å.
Intensities are scaled so that the largest is 1000.

Most intense lines, 15° ≤ 2θ ≤ 90°, by angle:
two_theta  I/Imax
16.57  1000
23.38  646
23.66  491
27.68  276
33.50  735
37.41  504
37.78  192
41.43  366
41.60  342
47.81  194

Structure:
a = 7.6113 Å, b = 7.6113 Å, c = 7.6113 Å
α = 59.22°, β = 59.22°, γ = 59.22°
Fractional coordinates of all 10 atoms:
K1 0.0000 0.0000 0.0000
K2 0.4992 0.4992 0.4992
Cd1 0.7223 0.7223 0.7223
Sn1 0.2229 0.2229 0.2229
Cl1 0.0504 0.4656 0.8714
Cl2 0.3879 0.9467 0.5660
Cl3 0.4656 0.8714 0.0504
Cl4 0.5660 0.3879 0.9467
Cl5 0.8714 0.0504 0.4656
Cl6 0.9467 0.5660 0.3879